No. 1
Mg3Zn2Au3: theoretical powder XRD pattern (CuKα), based on a GGA-PBE-relaxed structure.
Kinematic intensities with the Lorentz-polarization factor, no thermal factor.

Main lines, in order of falling intensity (10° ≤ 2θ ≤ 80°):
d = 2.349 Å, rel. 100
d = 3.543 Å, rel. 50
d = 3.469 Å, rel. 34
d = 2.196 Å, rel. 21
d = 2.249 Å, rel. 20
d = 2.079 Å, rel. 15
d = 1.295 Å, rel. 15
d = 1.571 Å, rel. 13
d = 1.855 Å, rel. 12
d = 1.317 Å, rel. 12

Lattice parameters (Å, degrees): 9.429 9.429 9.429 158.39 153.07 34.79
Fractional coordinates of all 8 atoms:
Mg: 0.000 0.000 0.000
Mg: 0.377 0.877 0.500
Mg: 0.623 0.123 0.500
Zn: 0.249 0.249 0.000
Zn: 0.751 0.751 0.000
Au: 0.136 0.636 0.500
Au: 0.500 0.500 0.000
Au: 0.864 0.364 0.500

---

No. 2
Mg9Zn4Au11: theoretical powder XRD pattern (CuKα), based on a GGA-PBE-relaxed structure.
Kinematic intensities with the Lorentz-polarization factor, no thermal factor.

Main lines, in order of falling intensity (10° ≤ 2θ ≤ 80°):
d = 2.292 Å, rel. 100
d = 2.302 Å, rel. 91
d = 2.370 Å, rel. 84
d = 3.336 Å, rel. 63
d = 3.154 Å, rel. 57
d = 3.367 Å, rel. 50
d = 1.895 Å, rel. 34
d = 3.867 Å, rel. 31
d = 1.577 Å, rel. 29
d = 2.482 Å, rel. 29

Lattice parameters (Å, degrees): 12.106 12.106 3.154 90.00 90.00 113.10
Fractional coordinates of all 24 atoms:
Mg: 0.000 0.000 0.000
Mg: 0.123 0.649 0.000
Mg: 0.292 0.453 0.000
Mg: 0.351 0.877 0.000
Mg: 0.453 0.292 0.000
Mg: 0.547 0.708 0.000
Mg: 0.649 0.123 0.000
Mg: 0.708 0.547 0.000
Mg: 0.877 0.351 0.000
Zn: 0.059 0.253 0.000
Zn: 0.253 0.059 0.000
Zn: 0.747 0.941 0.000
Zn: 0.941 0.747 0.000
Au: 0.095 0.448 0.500
Au: 0.134 0.866 0.500
Au: 0.228 0.228 0.500
Au: 0.332 0.668 0.500
Au: 0.448 0.095 0.500
Au: 0.500 0.500 0.500
Au: 0.552 0.905 0.500
Au: 0.668 0.332 0.500
Au: 0.772 0.772 0.500
Au: 0.866 0.134 0.500
Au: 0.905 0.552 0.500

---

No. 3
Mg2Zn2Au3: theoretical powder XRD pattern (CuKα), based on a GGA-PBE-relaxed structure.
Kinematic intensities with the Lorentz-polarization factor, no thermal factor.

Main lines, in order of falling intensity (10° ≤ 2θ ≤ 80°):
d = 2.295 Å, rel. 100
d = 2.351 Å, rel. 99
d = 3.290 Å, rel. 54
d = 3.699 Å, rel. 53
d = 2.487 Å, rel. 51
d = 2.139 Å, rel. 41
d = 1.356 Å, rel. 37
d = 3.361 Å, rel. 36
d = 1.895 Å, rel. 32
d = 1.383 Å, rel. 31

Lattice parameters (Å, degrees): 11.221 11.221 3.361 90.00 90.00 162.95
Fractional coordinates of all 7 atoms:
Mg: 0.072 0.928 0.000
Mg: 0.928 0.072 0.000
Zn: 0.206 0.794 0.000
Zn: 0.794 0.206 0.000
Au: 0.356 0.644 0.500
Au: 0.500 0.500 0.500
Au: 0.644 0.356 0.500

---

No. 4
Mg3Zn4Au2: theoretical powder XRD pattern (CuKα), based on a GGA-PBE-relaxed structure.
Kinematic intensities with the Lorentz-polarization factor, no thermal factor.

Main lines, in order of falling intensity (10° ≤ 2θ ≤ 80°):
d = 3.967 Å, rel. 100
d = 2.213 Å, rel. 82
d = 3.704 Å, rel. 63
d = 2.419 Å, rel. 62
d = 2.408 Å, rel. 48
d = 2.096 Å, rel. 48
d = 2.280 Å, rel. 42
d = 6.026 Å, rel. 39
d = 3.498 Å, rel. 32
d = 1.833 Å, rel. 30

Lattice parameters (Å, degrees): 6.857 6.857 6.421 109.19 109.19 35.60
Fractional coordinates of all 9 atoms:
Mg: 0.000 0.000 0.000
Mg: 0.141 0.141 0.508
Mg: 0.859 0.859 0.492
Zn: 0.258 0.258 0.141
Zn: 0.467 0.467 0.292
Zn: 0.533 0.533 0.708
Zn: 0.742 0.742 0.859
Au: 0.356 0.356 0.815
Au: 0.644 0.644 0.185